(1)
For TbSnGe, a crystal structure in the Materials Project, relaxed with GGA-PBE gives the theoretical PXRD pattern in this record (a wavelength of 1.5418 Å).
Lines closer than 0.1° are merged.

Atomic structure:
abc: 8.4799 8.4799 4.1097
angles: 90.00 90.00 150.80
Sites, in units of the cell vectors:
Tb 0.0944 0.9056 0.7500
Tb 0.9056 0.0944 0.2500
Sn 0.2551 0.7449 0.2500
Sn 0.7449 0.2551 0.7500
Ge 0.4471 0.5529 0.7500
Ge 0.5529 0.4471 0.2500

Peak list (10 most intense, 2θ from 10° to 90°, by angle)
2theta  intensity
24.22  11
32.74  19
34.43  100
42.27  14
44.07  13
54.47  9
59.53  9
62.72  9
72.26  12
74.82  10

---

(2)
For Li2IO, a crystal structure in the Materials Project, relaxed with GGA-PBE gives the theoretical PXRD pattern in this record (a wavelength of 1.5418 Å).
Lines closer than 0.1° are merged.

Atomic structure:
abc: 10.3225 5.8717 5.5702
angles: 90.00 90.00 90.00
Sites, in units of the cell vectors:
Li 0.0952 0.0021 0.1207
Li 0.0952 0.4979 0.1207
Li 0.4048 0.5021 0.6207
Li 0.4048 0.9979 0.6207
Li 0.5952 0.0021 0.3793
Li 0.5952 0.4979 0.3793
Li 0.9048 0.5021 0.8793
Li 0.9048 0.9979 0.8793
I 0.1594 0.7500 0.5656
I 0.3406 0.2500 0.0656
I 0.6594 0.7500 0.9344
I 0.8406 0.2500 0.4344
O 0.0193 0.7500 0.9535
O 0.4807 0.2500 0.4535
O 0.5193 0.7500 0.5465
O 0.9807 0.2500 0.0465

Peak list (10 most intense, 2θ from 10° to 90°, by angle)
2theta  intensity
18.10  15
22.00  21
22.94  84
23.64  100
30.51  73
33.32  15
39.86  18
43.66  36
44.61  20
49.58  20